No. 1
Structure and computed powder X-ray diffraction pattern of Sm3Al12Ru4 (a GGA-PBE-relaxed structure; Cu Kα (weighted mean of Kα1 and Kα2)).
No peak broadening, texture or thermal motion is included.

Structure:
a = 8.846 Å, b = 8.846 Å, c = 9.676 Å
α = 90.00°, β = 90.00°, γ = 120.00°
Element x y z (fractional)
1 Sm 0.193 0.386 0.250
2 Sm 0.193 0.807 0.250
3 Sm 0.386 0.193 0.750
4 Sm 0.614 0.807 0.250
5 Sm 0.807 0.193 0.750
6 Sm 0.807 0.614 0.750
7 Al 0.000 0.000 0.250
8 Al 0.000 0.000 0.750
9 Al 0.125 0.562 0.750
10 Al 0.163 0.326 0.576
11 Al 0.163 0.326 0.924
12 Al 0.163 0.837 0.576
13 Al 0.163 0.837 0.924
14 Al 0.326 0.163 0.076
15 Al 0.326 0.163 0.424
16 Al 0.333 0.667 0.013
17 Al 0.333 0.667 0.487
18 Al 0.438 0.562 0.750
19 Al 0.438 0.875 0.750
20 Al 0.562 0.125 0.250
21 Al 0.562 0.438 0.250
22 Al 0.667 0.333 0.513
23 Al 0.667 0.333 0.987
24 Al 0.674 0.837 0.576
25 Al 0.674 0.837 0.924
26 Al 0.837 0.163 0.076
27 Al 0.837 0.163 0.424
28 Al 0.837 0.674 0.076
29 Al 0.837 0.674 0.424
30 Al 0.875 0.438 0.250
31 Ru 0.000 0.000 0.000
32 Ru 0.000 0.000 0.500
33 Ru 0.000 0.500 0.000
34 Ru 0.000 0.500 0.500
35 Ru 0.500 0.000 0.000
36 Ru 0.500 0.000 0.500
37 Ru 0.500 0.500 0.000
38 Ru 0.500 0.500 0.500

Top 8 peaks for 2θ from 15° to 90°, in order of rising 2θ:
d/Å	2θ (°)	I_rel
3.562	25.00	55
3.003	29.75	100
2.485	36.15	32
2.468	36.41	95
2.419	37.17	37
2.212	40.80	84
1.632	56.37	39
1.486	62.50	22

No. 2
Structure and computed powder X-ray diffraction pattern of Sm4Al12Ru (a GGA-PBE-relaxed structure; Cu Kα (weighted mean of Kα1 and Kα2)).
No peak broadening, texture or thermal motion is included.

Structure:
a = 7.571 Å, b = 7.571 Å, c = 7.571 Å
α = 109.47°, β = 109.47°, γ = 109.47°
Element x y z (fractional)
1 Sm 0.000 0.000 0.500
2 Sm 0.000 0.500 0.000
3 Sm 0.500 0.000 0.000
4 Sm 0.500 0.500 0.500
5 Al 0.000 0.285 0.285
6 Al 0.000 0.715 0.715
7 Al 0.250 0.500 0.750
8 Al 0.250 0.750 0.500
9 Al 0.285 0.000 0.285
10 Al 0.285 0.285 0.000
11 Al 0.500 0.250 0.750
12 Al 0.500 0.750 0.250
13 Al 0.715 0.000 0.715
14 Al 0.715 0.715 0.000
15 Al 0.750 0.250 0.500
16 Al 0.750 0.500 0.250
17 Ru 0.000 0.000 0.000

Top 8 peaks for 2θ from 15° to 90°, in order of rising 2θ:
d/Å	2θ (°)	I_rel
4.371	20.32	46
3.091	28.88	100
2.524	35.57	69
2.186	41.31	53
1.955	46.45	24
1.785	51.19	39
1.546	59.84	34
1.318	71.59	24

No. 3
Structure and computed powder X-ray diffraction pattern of Sm3Al4Ru4 (a GGA-PBE-relaxed structure; Cu Kα (weighted mean of Kα1 and Kα2)).
No peak broadening, texture or thermal motion is included.

Structure:
a = 6.615 Å, b = 6.615 Å, c = 6.615 Å
α = 109.47°, β = 109.47°, γ = 109.47°
Element x y z (fractional)
1 Sm 0.000 0.500 0.500
2 Sm 0.500 0.000 0.500
3 Sm 0.500 0.500 0.000
4 Al 0.000 0.000 0.746
5 Al 0.000 0.746 0.000
6 Al 0.254 0.254 0.254
7 Al 0.746 0.000 0.000
8 Ru 0.000 0.000 0.382
9 Ru 0.000 0.382 0.000
10 Ru 0.382 0.000 0.000
11 Ru 0.618 0.618 0.618

Top 8 peaks for 2θ from 15° to 90°, in order of rising 2θ:
d/Å	2θ (°)	I_rel
3.118	28.63	46
2.700	33.17	100
2.415	37.23	37
1.800	50.71	25
1.708	53.66	20
1.628	56.51	15
1.559	59.27	21
1.273	74.54	17

No. 4
Structure and computed powder X-ray diffraction pattern of SmAl10Ru2 (a GGA-PBE-relaxed structure; Cu Kα (weighted mean of Kα1 and Kα2)).
No peak broadening, texture or thermal motion is included.

Structure:
a = 6.865 Å, b = 6.865 Å, c = 9.183 Å
α = 90.00°, β = 90.00°, γ = 96.77°
Element x y z (fractional)
1 Sm 0.126 0.874 0.750
2 Sm 0.874 0.126 0.250
3 Al 0.141 0.411 0.750
4 Al 0.159 0.841 0.101
5 Al 0.159 0.841 0.399
6 Al 0.220 0.481 0.250
7 Al 0.226 0.226 0.000
8 Al 0.226 0.226 0.500
9 Al 0.377 0.623 0.549
10 Al 0.377 0.623 0.951
11 Al 0.411 0.141 0.250
12 Al 0.481 0.220 0.750
13 Al 0.519 0.780 0.250
14 Al 0.589 0.859 0.750
15 Al 0.623 0.377 0.049
16 Al 0.623 0.377 0.451
17 Al 0.774 0.774 0.000
18 Al 0.774 0.774 0.500
19 Al 0.780 0.519 0.750
20 Al 0.841 0.159 0.601
21 Al 0.841 0.159 0.899
22 Al 0.859 0.589 0.250
23 Ru 0.000 0.500 0.000
24 Ru 0.000 0.500 0.500
25 Ru 0.500 0.000 0.000
26 Ru 0.500 0.000 0.500

Top 8 peaks for 2θ from 15° to 90°, in order of rising 2θ:
d/Å	2θ (°)	I_rel
5.132	17.28	37
3.235	27.57	54
3.197	27.91	30
2.628	34.11	31
2.461	36.52	27
2.296	39.24	33
2.278	39.55	74
2.238	40.29	100

No. 5
Structure and computed powder X-ray diffraction pattern of AlSn2Ru2 (a GGA-PBE-relaxed structure; Cu Kα (weighted mean of Kα1 and Kα2)).
No peak broadening, texture or thermal motion is included.

Structure:
a = 6.677 Å, b = 6.677 Å, c = 3.992 Å
α = 90.00°, β = 90.00°, γ = 90.00°
Element x y z (fractional)
1 Al 0.000 0.000 0.000
2 Al 0.500 0.500 0.000
3 Sn 0.158 0.342 0.500
4 Sn 0.342 0.842 0.500
5 Sn 0.658 0.158 0.500
6 Sn 0.842 0.658 0.500
7 Ru 0.149 0.649 0.000
8 Ru 0.351 0.149 0.000
9 Ru 0.649 0.851 0.000
10 Ru 0.851 0.351 0.000

Top 8 peaks for 2θ from 15° to 90°, in order of rising 2θ:
d/Å	2θ (°)	I_rel
4.722	18.79	16
2.391	37.62	100
2.112	42.83	22
1.996	45.45	14
1.501	61.82	12
1.450	64.22	13
1.215	78.74	12
1.184	81.24	16

No. 6
Structure and computed powder X-ray diffraction pattern of Tb3Al3Ru2 (a GGA-PBE-relaxed structure; Cu Kα (weighted mean of Kα1 and Kα2)).
No peak broadening, texture or thermal motion is included.

Structure:
a = 7.601 Å, b = 15.331 Å, c = 5.821 Å
α = 90.00°, β = 90.00°, γ = 90.00°
Element x y z (fractional)
1 Tb 0.035 0.108 0.102
2 Tb 0.035 0.392 0.102
3 Tb 0.171 0.250 0.629
4 Tb 0.329 0.750 0.129
5 Tb 0.465 0.608 0.602
6 Tb 0.465 0.892 0.602
7 Tb 0.535 0.108 0.398
8 Tb 0.535 0.392 0.398
9 Tb 0.671 0.250 0.871
10 Tb 0.829 0.750 0.371
11 Tb 0.965 0.608 0.898
12 Tb 0.965 0.892 0.898
13 Al 0.159 0.034 0.591
14 Al 0.159 0.466 0.591
15 Al 0.173 0.750 0.617
16 Al 0.327 0.250 0.117
17 Al 0.341 0.534 0.091
18 Al 0.341 0.966 0.091
19 Al 0.659 0.034 0.909
20 Al 0.659 0.466 0.909
21 Al 0.673 0.750 0.883
22 Al 0.827 0.250 0.383
23 Al 0.841 0.534 0.409
24 Al 0.841 0.966 0.409
25 Ru 0.137 0.608 0.366
26 Ru 0.137 0.892 0.366
27 Ru 0.363 0.108 0.866
28 Ru 0.363 0.392 0.866
29 Ru 0.637 0.608 0.134
30 Ru 0.637 0.892 0.134
31 Ru 0.863 0.108 0.634
32 Ru 0.863 0.392 0.634

Top 8 peaks for 2θ from 15° to 90°, in order of rising 2θ:
d/Å	2θ (°)	I_rel
3.428	26.00	66
2.699	33.19	70
2.676	33.48	100
2.556	35.10	79
2.448	36.71	79
2.400	37.48	74
2.323	38.76	72
1.705	53.77	61

No. 7
Structure and computed powder X-ray diffraction pattern of ThAl10Ru2 (a GGA-PBE-relaxed structure; Cu Kα (weighted mean of Kα1 and Kα2)).
No peak broadening, texture or thermal motion is included.

Structure:
a = 6.886 Å, b = 6.886 Å, c = 9.197 Å
α = 90.00°, β = 90.00°, γ = 97.37°
Element x y z (fractional)
1 Th 0.127 0.873 0.750
2 Th 0.873 0.127 0.250
3 Al 0.142 0.407 0.750
4 Al 0.159 0.841 0.102
5 Al 0.159 0.841 0.398
6 Al 0.221 0.483 0.250
7 Al 0.225 0.225 0.000
8 Al 0.225 0.225 0.500
9 Al 0.378 0.622 0.549
10 Al 0.378 0.622 0.951
11 Al 0.407 0.142 0.250
12 Al 0.483 0.221 0.750
13 Al 0.517 0.779 0.250
14 Al 0.593 0.858 0.750
15 Al 0.622 0.378 0.049
16 Al 0.622 0.378 0.451
17 Al 0.775 0.775 0.000
18 Al 0.775 0.775 0.500
19 Al 0.779 0.517 0.750
20 Al 0.841 0.159 0.602
21 Al 0.841 0.159 0.898
22 Al 0.858 0.593 0.250
23 Ru 0.000 0.500 0.000
24 Ru 0.000 0.500 0.500
25 Ru 0.500 0.000 0.000
26 Ru 0.500 0.000 0.500

Top 8 peaks for 2θ from 15° to 90°, in order of rising 2θ:
d/Å	2θ (°)	I_rel
5.483	16.17	72
4.508	19.69	46
3.232	27.60	100
3.201	27.87	60
2.638	33.98	59
2.280	39.52	83
2.254	40.00	74
2.248	40.12	65

No. 8
Structure and computed powder X-ray diffraction pattern of ThAlRu2 (a GGA-PBE-relaxed structure; Cu Kα (weighted mean of Kα1 and Kα2)).
No peak broadening, texture or thermal motion is included.

Structure:
a = 3.318 Å, b = 3.318 Å, c = 6.539 Å
α = 90.00°, β = 90.00°, γ = 90.00°
Element x y z (fractional)
1 Th 0.000 0.000 0.000
2 Al 0.000 0.000 0.500
3 Ru 0.500 0.500 0.284
4 Ru 0.500 0.500 0.716

Top 8 peaks for 2θ from 15° to 90°, in order of rising 2θ:
d/Å	2θ (°)	I_rel
2.959	30.20	58
2.346	38.36	56
2.329	38.66	100
1.659	55.38	19
1.597	57.73	17
1.447	64.38	14
1.351	69.57	36
1.341	70.16	13

No. 9
Structure and computed powder X-ray diffraction pattern of TmAlRu (a GGA-PBE-relaxed structure; Cu Kα (weighted mean of Kα1 and Kα2)).
No peak broadening, texture or thermal motion is included.

Structure:
a = 5.267 Å, b = 5.267 Å, c = 5.267 Å
α = 117.47°, β = 114.69°, γ = 96.96°
Element x y z (fractional)
1 Tm 0.392 0.142 0.250
2 Tm 0.608 0.858 0.750
3 Al 0.000 0.000 0.500
4 Al 0.000 0.500 0.000
5 Ru 0.000 0.500 0.500
6 Ru 0.500 0.500 0.000

Top 8 peaks for 2θ from 15° to 90°, in order of rising 2θ:
d/Å	2θ (°)	I_rel
4.409	20.14	59
2.734	32.76	51
2.613	34.31	81
2.372	37.93	100
2.323	38.76	54
2.204	40.94	25
2.142	42.19	54
1.307	72.32	31

No. 10
Structure and computed powder X-ray diffraction pattern of Tm3AlRu (a GGA-PBE-relaxed structure; Cu Kα (weighted mean of Kα1 and Kα2)).
No peak broadening, texture or thermal motion is included.

Structure:
a = 9.151 Å, b = 8.511 Å, c = 5.632 Å
α = 77.70°, β = 65.33°, γ = 36.97°
Element x y z (fractional)
1 Tm 0.198 0.198 0.802
2 Tm 0.205 0.580 0.420
3 Tm 0.420 0.795 0.205
4 Tm 0.580 0.205 0.795
5 Tm 0.795 0.420 0.580
6 Tm 0.802 0.802 0.198
7 Al 0.197 0.803 0.803
8 Al 0.803 0.197 0.197
9 Ru 0.250 0.250 0.250
10 Ru 0.750 0.750 0.750

Top 8 peaks for 2θ from 15° to 90°, in order of rising 2θ:
d/Å	2θ (°)	I_rel
3.195	27.92	57
2.741	32.67	100
2.706	33.10	94
2.496	35.98	79
2.483	36.18	61
2.460	36.52	57
2.189	41.24	65
1.551	59.59	44

No. 11
Structure and computed powder X-ray diffraction pattern of Tm2AlRu5W2 (a GGA-PBE-relaxed structure; Cu Kα (weighted mean of Kα1 and Kα2)).
No peak broadening, texture or thermal motion is included.

Structure:
a = 10.491 Å, b = 10.491 Å, c = 3.149 Å
α = 90.00°, β = 90.00°, γ = 90.00°
Element x y z (fractional)
1 Tm 0.168 0.332 0.000
2 Tm 0.332 0.832 0.000
3 Tm 0.668 0.168 0.000
4 Tm 0.832 0.668 0.000
5 Al 0.000 0.000 0.000
6 Al 0.500 0.500 0.000
7 Ru 0.000 0.500 0.500
8 Ru 0.059 0.809 0.500
9 Ru 0.191 0.059 0.500
10 Ru 0.309 0.559 0.500
11 Ru 0.441 0.309 0.500
12 Ru 0.500 0.000 0.500
13 Ru 0.559 0.691 0.500
14 Ru 0.691 0.441 0.500
15 Ru 0.809 0.941 0.500
16 Ru 0.941 0.191 0.500
17 W 0.140 0.640 0.000
18 W 0.360 0.140 0.000
19 W 0.640 0.860 0.000
20 W 0.860 0.360 0.000

Top 8 peaks for 2θ from 15° to 90°, in order of rising 2θ:
d/Å	2θ (°)	I_rel
2.700	33.18	19
2.544	35.27	30
2.473	36.33	56
2.284	39.46	100
2.137	42.29	27
2.015	44.98	32
1.574	58.64	15
1.328	70.97	16